Theoretical X-ray powder pattern
Compound: Sm2Zn2Ga3
Radiation: CuKα
Structure: DFT lattice parameters and positions (PBE)

Main lines, low angle first (2θ = 15–90°):
2θ (°)	intensity
31.25	18
33.15	75
33.92	100
38.24	17
41.24	35
43.35	32
55.32	16
61.37	22
70.50	12
75.80	14

Atomic structure:
Lattice parameters (Å, degrees): 9.6648 9.6648 6.9861 90.00 90.00 153.82
Element x y z (fractional)
Sm1 0.0502 0.9498 0.7500
Sm2 0.1587 0.8413 0.2500
Sm3 0.8413 0.1587 0.7500
Sm4 0.9498 0.0502 0.2500
Zn1 0.3160 0.6840 0.0637
Zn2 0.3160 0.6840 0.4363
Zn3 0.6840 0.3160 0.5637
Zn4 0.6840 0.3160 0.9363
Ga1 0.2229 0.7771 0.7500
Ga2 0.4403 0.5597 0.5719
Ga3 0.4403 0.5597 0.9281
Ga4 0.5597 0.4403 0.0719
Ga5 0.5597 0.4403 0.4281
Ga6 0.7771 0.2229 0.2500


Theoretical X-ray powder pattern
Compound: V4ZnGa2
Radiation: CuKα
Structure: DFT lattice parameters and positions (PBE)

Main lines, low angle first (2θ = 15–90°):
2θ (°)	intensity
22.41	51
34.05	63
38.44	78
41.99	37
43.26	100
43.71	88
48.51	28
52.98	67
80.60	28
86.65	34

Atomic structure:
Lattice parameters (Å, degrees): 8.8723 8.8723 2.9010 90.00 90.00 90.00
Element x y z (fractional)
V1 0.0064 0.3390 0.0000
V2 0.1610 0.5064 0.5000
V3 0.3390 0.0064 0.0000
V4 0.4936 0.8390 0.5000
V5 0.5064 0.1610 0.5000
V6 0.6610 0.9936 0.0000
V7 0.8390 0.4936 0.5000
V8 0.9936 0.6610 0.0000
Zn1 0.0000 0.0000 0.5000
Zn2 0.5000 0.5000 0.0000
Ga1 0.2029 0.7971 0.5000
Ga2 0.2971 0.2971 0.0000
Ga3 0.7029 0.7029 0.0000
Ga4 0.7971 0.2029 0.5000